For Zr5Ga4, a GGA-PBE-relaxed structure gives the computed powder diffraction line list in this record (Cu Kα X-rays).
Lines closer than 0.1° are merged.

Crystal structure
```
data_Zr5Ga4
_chemical_formula_sum 'Zr10 Ga8'
_cell_length_a 8.4183
_cell_length_b 8.4183
_cell_length_c 5.7661
_cell_angle_alpha 90.00
_cell_angle_beta 90.00
_cell_angle_gamma 120.00
_space_group_name_H-M_alt 'P 63/m c m'
_space_group_IT_number 193
_space_group_name_Hall '-P 6c 2'
loop_
_atom_site_label
_atom_site_type_symbol
_atom_site_fract_x
_atom_site_fract_y
_atom_site_fract_z
_atom_site_occupancy
Zr1 Zr 0.0000 0.2834 0.2500 1
Zr2 Zr 0.3333 0.6667 0.0000 1
Ga1 Ga 0.0000 0.0000 0.0000 1
Ga2 Ga 0.0000 0.3764 0.7500 1
```

Top 10 peaks for 2θ from 10° to 90°, in order of falling intensity:
hkl  d (Å)  Position (°2θ)  I/Imax
1 1 2  2.379  37.82  100
3 0 0  2.430  36.99  91
2 1 1  2.486  36.13  40
2 2 2  1.700  53.94  28
4 1 2  1.393  67.21  24
3 0 4  1.240  76.90  20
3 1 1  1.908  47.66  11
5 1 1  1.277  74.28  10
2 1 3  1.576  58.55  9
4 2 1  1.340  70.24  9